Entry 1:
# RbLiMg14O15
Calculated PXRD pattern, Cu Kα X-rays. Input: the GGA-PBE geometry in Alexandria.

Most intense lines, 10 to 90 degrees two-theta, most intense first:
2theta  I/Imax
43.0  100
43.9  77
63.1  50
35.0  46
34.6  38
27.6  38
10.7  37
23.2  35
29.4  34
43.6  30

Structure:
```
31
Lattice="4.2037 0.0000 0.0000 0.0000 8.2556 0.0000 0.0000 0.0000 10.3699" Properties=species:S:1:pos:R:3 pbc="T T T"
Rb 0.0000 0.0000 0.0000
Li 0.0000 4.1278 5.8666
Mg 0.0000 0.0000 5.5928
Mg 0.0000 1.9115 3.3655
Mg 0.0000 2.1279 7.6895
Mg 0.0000 4.1278 0.3327
Mg 0.0000 6.1277 7.6895
Mg 0.0000 6.3441 3.3655
Mg 2.1019 0.0000 3.3716
Mg 2.1019 0.0000 7.6303
Mg 2.1019 2.1358 1.2957
Mg 2.1019 2.1448 5.6728
Mg 2.1019 4.1278 3.6800
Mg 2.1019 4.1278 8.5027
Mg 2.1019 6.1108 5.6728
Mg 2.1019 6.1198 1.2957
O 0.0000 0.0000 3.5874
O 0.0000 0.0000 7.6722
O 0.0000 2.1300 5.5762
O 0.0000 2.4693 1.4426
O 0.0000 4.1278 8.3951
O 0.0000 5.7863 1.4426
O 0.0000 6.1256 5.5762
O 2.1019 0.0000 1.3849
O 2.1019 0.0000 5.5704
O 2.1019 2.0582 7.8526
O 2.1019 2.2146 3.4049
O 2.1019 4.1278 0.2321
O 2.1019 4.1278 5.5934
O 2.1019 6.0410 3.4049
O 2.1019 6.1974 7.8526
```



Entry 2:
# SbAsPd2
Calculated PXRD pattern, Cu Kα X-rays. Input: the GGA-PBE geometry in Alexandria.

Most intense lines, 10 to 90 degrees two-theta, most intense first:
2theta  I/Imax
40.9  100
30.3  82
46.8  46
31.0  46
42.2  44
41.5  42
45.3  34
35.4  29
25.9  21
44.1  21

Structure:
```
32
Lattice="5.7541 0.0000 0.0000 0.0000 16.0268 0.0000 0.0000 0.0000 6.6625" Properties=species:S:1:pos:R:3 pbc="T T T"
Sb 1.1397 2.9965 0.5917
Sb 1.1397 5.0169 3.9230
Sb 1.7374 11.0099 0.5917
Sb 1.7374 13.0303 3.9230
Sb 4.0167 2.9965 2.7395
Sb 4.0167 5.0169 6.0708
Sb 4.6144 11.0099 2.7395
Sb 4.6144 13.0303 6.0708
As 1.0563 8.9232 3.8137
As 1.0563 15.1169 0.4824
As 1.8207 0.9099 3.8137
As 1.8207 7.1035 0.4824
As 3.9334 8.9232 6.1801
As 3.9334 15.1169 2.8488
As 4.6977 0.9099 6.1801
As 4.6977 7.1035 2.8488
Pd 0.0192 8.9248 1.2649
Pd 0.0192 15.1154 4.5962
Pd 0.0622 2.6647 4.7203
Pd 0.0622 5.3487 1.3891
Pd 2.8149 10.6781 4.7203
Pd 2.8149 13.3620 1.3891
Pd 2.8579 0.9114 1.2649
Pd 2.8579 7.1020 4.5962
Pd 2.8962 8.9248 2.0663
Pd 2.8962 15.1154 5.3976
Pd 2.9392 2.6647 5.2734
Pd 2.9392 5.3487 1.9422
Pd 5.6919 10.6781 5.2734
Pd 5.6919 13.3620 1.9422
Pd 5.7349 0.9114 2.0663
Pd 5.7349 7.1020 5.3976
```



Entry 3:
# Pr4Ge2TeCl
Calculated PXRD pattern, Cu Kα X-rays. Input: the GGA-PBE geometry in Alexandria.

Most intense lines, 10 to 90 degrees two-theta, most intense first:
2theta  I/Imax
28.9  100
41.6  74
29.3  48
51.5  39
41.4  38
75.6  25
25.1  24
67.9  17
68.1  17
68.7  16

Structure:
```
8
Lattice="0.0000 4.3686 6.0930 4.3637 0.0000 6.0930 4.3637 4.3686 0.0000" Properties=species:S:1:pos:R:3 pbc="T T T"
Pr 2.1818 2.1843 0.0000
Pr 4.3637 4.3686 2.9988
Pr 2.1818 2.1843 6.0930
Pr 4.3637 4.3686 9.1872
Ge 2.1818 2.1843 3.0465
Ge 6.5455 6.5529 9.1395
Te 4.3637 4.3686 6.0930
Cl 0.0000 0.0000 0.0000
```